# 1
Calculated PXRD pattern of Na3PuBi3 for copper Kα, from DFT lattice parameters and positions (PBE).
Peak positions follow from Bragg's law for the DFT cell and can differ from measured ones.

Atomic structure:
```
Na3PuBi3
1.0
5.2223 3.0151 2.4203
-5.2223 3.0151 2.4203
0.0000 -6.0302 2.4203
Na Pu Bi
3 1 3
Direct
0.1908 0.1908 0.6184
0.1908 0.6184 0.1908
0.6184 0.1908 0.1908
0.7306 0.7306 0.7306
0.2188 0.7173 0.7173
0.7173 0.2188 0.7173
0.7173 0.7173 0.2188
```

Peak list (10 most intense, 2θ from 10° to 90°, sorted by position)
2θ = 15.65°, I = 100; 2θ = 23.17°, I = 25; 2θ = 28.87°, I = 53; 2θ = 31.60°, I = 93; 2θ = 34.34°, I = 75; 2θ = 37.95°, I = 26; 2θ = 41.11°, I = 21; 2θ = 47.36°, I = 30; 2θ = 54.47°, I = 19; 2θ = 59.80°, I = 30

***

# 2
Calculated PXRD pattern of RbAlPdF6 for copper Kα, from DFT lattice parameters and positions (PBE).
Peak positions follow from Bragg's law for the DFT cell and can differ from measured ones.

Atomic structure:
```
RbAlPdF6
1.0
7.3783 0.0000 0.0000
0.0000 7.2277 0.0000
0.0000 0.0000 10.2805
Rb Al Pd F
4 4 4 24
Direct
0.0189 0.2500 0.1319
0.4811 0.7500 0.6319
0.5189 0.2500 0.3681
0.9811 0.7500 0.8681
0.0000 0.0000 0.5000
0.0000 0.5000 0.5000
0.5000 0.0000 0.0000
0.5000 0.5000 0.0000
0.2192 0.2500 0.7625
0.2808 0.7500 0.2625
0.7192 0.2500 0.7375
0.7808 0.7500 0.2375
0.0303 0.2500 0.4841
0.0403 0.7500 0.1403
0.1344 0.5011 0.6486
0.1344 0.9989 0.6486
0.2069 0.5310 0.4051
0.2069 0.9690 0.4051
0.2931 0.0310 0.9051
0.2931 0.4690 0.9051
0.3656 0.0011 0.1486
0.3656 0.4989 0.1486
0.4597 0.2500 0.6403
0.4697 0.7500 0.9841
0.5303 0.2500 0.0159
0.5403 0.7500 0.3597
0.6344 0.5011 0.8514
0.6344 0.9989 0.8514
0.7069 0.5310 0.0949
0.7069 0.9690 0.0949
0.7931 0.0310 0.5949
0.7931 0.4690 0.5949
0.8656 0.0011 0.3514
0.8656 0.4989 0.3514
0.9597 0.2500 0.8597
0.9697 0.7500 0.5159
```

Peak list (10 most intense, 2θ from 10° to 90°, sorted by position)
2θ = 14.98°, I = 40; 2θ = 24.44°, I = 23; 2θ = 24.63°, I = 25; 2θ = 28.52°, I = 100; 2θ = 28.72°, I = 25; 2θ = 28.84°, I = 89; 2θ = 29.81°, I = 28; 2θ = 30.23°, I = 30; 2θ = 45.85°, I = 38; 2θ = 50.08°, I = 45

***

# 3
Calculated PXRD pattern of Nd6TeAs4 for copper Kα, from DFT lattice parameters and positions (PBE).
Peak positions follow from Bragg's law for the DFT cell and can differ from measured ones.

Atomic structure:
```
Nd6TeAs4
1.0
2.1356 -7.0576 0.0000
2.1356 7.0576 0.0000
0.0000 0.0000 21.5968
Nd Te As
12 2 8
Direct
0.0000 0.0000 0.0000
0.0000 0.0000 0.5000
0.1687 0.8313 0.7500
0.2736 0.7264 0.0803
0.2736 0.7264 0.4197
0.4607 0.5393 0.6596
0.4607 0.5393 0.8404
0.5393 0.4607 0.1596
0.5393 0.4607 0.3404
0.7264 0.2736 0.5803
0.7264 0.2736 0.9197
0.8313 0.1687 0.2500
0.1619 0.8381 0.2500
0.8381 0.1619 0.7500
0.0925 0.9075 0.6256
0.0925 0.9075 0.8744
0.3630 0.6370 0.5424
0.3630 0.6370 0.9576
0.6370 0.3630 0.0424
0.6370 0.3630 0.4576
0.9075 0.0925 0.1256
0.9075 0.0925 0.3744
```

Peak list (10 most intense, 2θ from 10° to 90°, sorted by position)
2θ = 27.36°, I = 23; 2θ = 27.82°, I = 79; 2θ = 28.53°, I = 38; 2θ = 29.43°, I = 100; 2θ = 30.88°, I = 42; 2θ = 40.02°, I = 27; 2θ = 41.86°, I = 50; 2θ = 42.32°, I = 34; 2θ = 43.78°, I = 52; 2θ = 51.41°, I = 31